Structure and calculated powder diffractogram of Ca2GeO4 (a crystal structure in Alexandria, relaxed with PBE; Cu Ka).
Neutral-atom scattering factors, no anomalous dispersion.

Top 10 peaks for 2θ = 10–90°, by angle:
two_theta, I/Imax
17.9, 39
27.2, 41
28.9, 48
30.6, 100
31.6, 73
37.0, 24
47.7, 43
47.9, 20
51.1, 28
53.0, 27

Cell and atoms:
```
Ca2GeO4
1.0
0.000 5.120 6.170
3.191 0.000 6.170
3.191 5.120 0.000
Ca Ge O
4 2 8
Direct
0.064 0.686 0.064
0.314 0.936 0.314
0.686 0.064 0.686
0.936 0.314 0.936
0.375 0.375 0.375
0.625 0.625 0.625
0.172 0.722 0.353
0.253 0.353 0.722
0.278 0.828 0.747
0.353 0.253 0.172
0.647 0.747 0.828
0.722 0.172 0.253
0.747 0.647 0.278
0.828 0.278 0.647
```



Structure and calculated powder diffractogram of DyHo2Er2Sc (a crystal structure in Alexandria, relaxed with PBE; Cu Ka).
Neutral-atom scattering factors, no anomalous dispersion.

Top 10 peaks for 2θ = 10–90°, by angle:
two_theta, I/Imax
27.5, 25
29.4, 35
31.3, 100
34.3, 17
34.7, 28
39.3, 27
42.1, 29
54.6, 10
66.2, 24
67.3, 12

Cell and atoms:
```
DyHo2Er2Sc
1.0
6.501 0.000 0.000
0.000 17.104 0.000
0.000 0.000 3.301
Dy Ho Er Sc
2 4 4 2
Direct
0.000 0.000 0.000
0.500 0.500 0.500
0.247 0.148 0.500
0.253 0.648 0.000
0.747 0.352 0.000
0.753 0.852 0.500
0.249 0.322 0.000
0.251 0.822 0.500
0.749 0.178 0.500
0.751 0.678 0.000
0.000 0.500 0.000
0.500 0.000 0.500
```